# 1
For GaAg2HgTe4, a DFT-relaxed cell (PBE, Alexandria) gives the simulated PXRD pattern in this record (Cu Ka).

Crystal structure
a b c (Å): 7.907 7.906 6.342
angles (deg): 66.36 66.35 47.29
Positions (direct):
Ga 0.000 0.000 0.000
Ag 0.250 0.250 0.250
Ag 0.750 0.750 0.750
Hg 0.501 0.501 0.499
Te 0.112 0.639 0.888
Te 0.361 0.889 0.111
Te 0.639 0.112 0.361
Te 0.889 0.361 0.639

Peak list (6 most intense, 5 to 70 degrees two-theta, in order of rising 2θ)
2θ/deg, I/Imax
24.10, 100
39.68, 53
40.22, 25
46.48, 17
47.43, 32
63.12, 13

---

# 2
For TmGaAgHg, a DFT-relaxed cell (PBE, Alexandria) gives the simulated PXRD pattern in this record (Cu Ka).

Crystal structure
a b c (Å): 6.920 6.920 6.920
angles (deg): 90.00 90.00 90.00
Positions (direct):
Tm 0.000 0.000 0.000
Tm 0.000 0.500 0.500
Tm 0.500 0.000 0.500
Tm 0.500 0.500 0.000
Ga 0.250 0.250 0.250
Ga 0.250 0.750 0.750
Ga 0.750 0.250 0.750
Ga 0.750 0.750 0.250
Ag 0.000 0.000 0.500
Ag 0.000 0.500 0.000
Ag 0.500 0.000 0.000
Ag 0.500 0.500 0.500
Hg 0.250 0.250 0.750
Hg 0.250 0.750 0.250
Hg 0.750 0.250 0.250
Hg 0.750 0.750 0.750

Peak list (6 most intense, 5 to 70 degrees two-theta, in order of rising 2θ)
2θ/deg, I/Imax
22.25, 14
36.73, 100
43.37, 8
52.92, 17
58.10, 4
66.15, 35

---

# 3
For Ho4GaAg3, a DFT-relaxed cell (PBE, Alexandria) gives the simulated PXRD pattern in this record (Cu Ka).

Crystal structure
a b c (Å): 3.566 3.566 14.712
angles (deg): 90.00 90.00 90.00
Positions (direct):
Ho 0.000 0.000 0.122
Ho 0.000 0.000 0.374
Ho 0.000 0.000 0.626
Ho 0.000 0.000 0.878
Ga 0.500 0.500 0.000
Ag 0.500 0.500 0.248
Ag 0.500 0.500 0.500
Ag 0.500 0.500 0.752

Peak list (6 most intense, 5 to 70 degrees two-theta, in order of rising 2θ)
2θ/deg, I/Imax
35.05, 100
35.60, 48
49.57, 9
51.23, 17
62.51, 18
63.59, 35

---

# 4
For HoGa3Ag3, a DFT-relaxed cell (PBE, Alexandria) gives the simulated PXRD pattern in this record (Cu Ka).

Crystal structure
a b c (Å): 6.638 4.320 9.571
angles (deg): 90.00 105.33 90.00
Positions (direct):
Ho 0.237 0.250 0.113
Ho 0.763 0.750 0.887
Ga 0.222 0.750 0.898
Ga 0.405 0.750 0.386
Ga 0.438 0.250 0.844
Ga 0.562 0.750 0.156
Ga 0.595 0.250 0.614
Ga 0.778 0.250 0.102
Ag 0.012 0.250 0.743
Ag 0.141 0.250 0.453
Ag 0.326 0.750 0.646
Ag 0.674 0.250 0.354
Ag 0.859 0.750 0.547
Ag 0.988 0.750 0.257

Peak list (6 most intense, 5 to 70 degrees two-theta, in order of rising 2θ)
2θ/deg, I/Imax
35.54, 82
35.83, 42
38.27, 100
41.68, 29
41.82, 51
60.52, 19